# In2NiO4
Calculated powder XRD pattern, copper Kα. Input: DFT lattice parameters and positions (GGA+U).

Atomic structure:
abc: 6.364 6.490 8.947
angles: 90.00 90.00 90.00
Space group Imma (No. 74)
Symmetry-distinct sites (fractional):
In (0.000, 0.000, 0.000) x4
In (0.250, 0.250, 0.250) x4
Ni (0.000, 0.250, 0.628) x4
O (0.000, 0.016, 0.246) x8
O (0.237, 0.250, 0.003) x8

Peak list (10 most intense, 2θ from 10° to 90°, in order of falling intensity)
2θ 32.55, 2.751 Å, intensity 100
2θ 32.91, 2.722 Å, intensity 98
2θ 57.85, 1.594 Å, intensity 89
2θ 39.67, 2.272 Å, intensity 60
2θ 17.10, 5.186 Å, intensity 53
2θ 16.88, 5.254 Å, intensity 53
2θ 33.17, 2.701 Å, intensity 51
2θ 34.13, 2.627 Å, intensity 49
2θ 33.05, 2.710 Å, intensity 49
2θ 34.59, 2.593 Å, intensity 45